Record 1
Structure and computed XRD peak list of MgTi2Ni2O6 (a crystal structure in the Materials Project, relaxed with GGA+U; copper Kα).
Peak positions follow from Bragg's law for the DFT cell and can differ from measured ones.

Atomic structure:
Lattice parameters (Å, degrees): 5.821 5.821 5.821 52.08 52.08 52.08
Fractional positions:
Mg: 0.000 0.000 0.000
Ti: 0.351 0.351 0.351
Ti: 0.649 0.649 0.649
Ni: 0.169 0.169 0.169
Ni: 0.831 0.831 0.831
O: 0.058 0.417 0.758
O: 0.242 0.942 0.583
O: 0.417 0.758 0.058
O: 0.583 0.242 0.942
O: 0.758 0.058 0.417
O: 0.942 0.583 0.242

Peak list (10 most intense, 2θ = 10–90°, most intense first)
| two_theta | I_rel |
| --- | --- |
| 51.0 | 100 |
| 35.1 | 84 |
| 63.0 | 36 |
| 23.3 | 35 |
| 31.2 | 32 |
| 39.6 | 21 |
| 85.2 | 19 |
| 36.1 | 18 |
| 47.7 | 12 |
| 35.8 | 12 |

***

Record 2
Structure and computed XRD peak list of Li7Mn8B8O24 (a crystal structure in the Materials Project, relaxed with GGA+U; copper Kα).
Peak positions follow from Bragg's law for the DFT cell and can differ from measured ones.

Atomic structure:
Lattice parameters (Å, degrees): 5.246 9.143 10.464 88.01 88.86 89.89
Fractional positions:
Li: 0.000 0.000 0.000
Li: 0.012 0.996 0.502
Li: 0.144 0.170 0.746
Li: 0.184 0.150 0.253
Li: 0.502 0.498 0.017
Li: 0.646 0.670 0.753
Li: 0.674 0.651 0.255
Mn: 0.001 0.656 0.538
Mn: 0.007 0.325 0.033
Mn: 0.154 0.831 0.782
Mn: 0.162 0.489 0.285
Mn: 0.505 0.830 0.034
Mn: 0.506 0.178 0.532
Mn: 0.658 0.337 0.783
Mn: 0.671 0.987 0.288
B: 0.004 0.661 0.050
B: 0.168 0.500 0.798
B: 0.176 0.824 0.292
B: 0.501 0.840 0.547
B: 0.509 0.158 0.044
B: 0.658 0.004 0.793
B: 0.665 0.326 0.281
B: 0.988 0.329 0.531
O: 0.019 0.615 0.750
O: 0.029 0.697 0.320
O: 0.051 0.364 0.827
O: 0.065 0.959 0.307
O: 0.109 0.451 0.469
O: 0.114 0.197 0.548
O: 0.120 0.788 0.001
O: 0.156 0.538 0.091
O: 0.236 0.847 0.574
O: 0.246 0.145 0.060
O: 0.424 0.518 0.821
O: 0.428 0.810 0.251
O: 0.512 0.123 0.750
O: 0.531 0.201 0.320
O: 0.539 0.871 0.826
O: 0.544 0.459 0.272
O: 0.619 0.290 0.001
O: 0.628 0.965 0.497
O: 0.632 0.715 0.572
O: 0.664 0.037 0.075
O: 0.744 0.649 0.059
O: 0.745 0.348 0.579
O: 0.920 0.016 0.807
O: 0.927 0.314 0.249

Peak list (10 most intense, 2θ = 10–90°, most intense first)
| two_theta | I_rel |
| --- | --- |
| 34.3 | 100 |
| 19.5 | 80 |
| 21.5 | 66 |
| 34.0 | 59 |
| 25.5 | 55 |
| 21.3 | 44 |
| 48.5 | 37 |
| 34.2 | 35 |
| 26.4 | 32 |
| 40.1 | 26 |

***

Record 3
Structure and computed XRD peak list of V3Fe2NiP6O24 (a crystal structure in the Materials Project, relaxed with GGA+U; copper Kα).
Peak positions follow from Bragg's law for the DFT cell and can differ from measured ones.

Atomic structure:
Lattice parameters (Å, degrees): 8.487 8.487 8.487 61.17 61.17 61.17
Fractional positions:
V: 0.000 0.000 0.000
V: 0.215 0.215 0.215
V: 0.502 0.502 0.502
Fe: 0.358 0.358 0.358
Fe: 0.855 0.855 0.855
Ni: 0.717 0.717 0.717
P: 0.110 0.816 0.400
P: 0.317 0.611 0.902
P: 0.400 0.110 0.816
P: 0.611 0.902 0.317
P: 0.816 0.400 0.110
P: 0.902 0.317 0.611
O: 0.046 0.856 0.238
O: 0.099 0.291 0.446
O: 0.116 0.770 0.917
O: 0.184 0.974 0.351
O: 0.238 0.046 0.856
O: 0.275 0.620 0.411
O: 0.291 0.446 0.099
O: 0.351 0.184 0.974
O: 0.354 0.548 0.738
O: 0.411 0.275 0.620
O: 0.446 0.099 0.291
O: 0.471 0.669 0.874
O: 0.548 0.738 0.354
O: 0.594 0.954 0.807
O: 0.620 0.411 0.275
O: 0.669 0.874 0.471
O: 0.738 0.354 0.548
O: 0.770 0.917 0.116
O: 0.807 0.594 0.954
O: 0.856 0.238 0.046
O: 0.874 0.471 0.669
O: 0.917 0.116 0.770
O: 0.954 0.807 0.594
O: 0.974 0.351 0.184

Peak list (10 most intense, 2θ = 10–90°, most intense first)
| two_theta | I_rel |
| --- | --- |
| 24.3 | 100 |
| 20.6 | 81 |
| 33.3 | 65 |
| 36.0 | 36 |
| 47.8 | 32 |
| 49.9 | 24 |
| 56.4 | 23 |
| 25.3 | 18 |
| 63.1 | 17 |
| 32.0 | 17 |

***

Record 4
Structure and computed XRD peak list of Li3Ni3O3F5 (a crystal structure in the Materials Project, relaxed with GGA+U; copper Kα).
Peak positions follow from Bragg's law for the DFT cell and can differ from measured ones.

Atomic structure:
Lattice parameters (Å, degrees): 5.964 5.964 5.886 119.41 119.41 57.17
Fractional positions:
Li: 0.000 0.000 0.000
Li: 0.356 0.356 0.101
Li: 0.623 0.623 0.891
Ni: 0.488 0.995 0.485
Ni: 0.991 0.991 0.489
Ni: 0.995 0.488 0.485
O: 0.222 0.222 0.677
O: 0.234 0.234 0.268
O: 0.761 0.761 0.295
F: 0.227 0.746 0.743
F: 0.241 0.750 0.240
F: 0.746 0.227 0.743
F: 0.747 0.747 0.723
F: 0.750 0.241 0.240

Peak list (10 most intense, 2θ = 10–90°, most intense first)
| two_theta | I_rel |
| --- | --- |
| 18.2 | 100 |
| 44.2 | 44 |
| 36.5 | 29 |
| 41.6 | 27 |
| 18.6 | 22 |
| 34.6 | 20 |
| 62.4 | 15 |
| 62.2 | 14 |
| 58.0 | 12 |
| 30.0 | 11 |

***

Record 5
Structure and computed XRD peak list of K17Fe5O16 (a crystal structure in the Materials Project, relaxed with GGA+U; copper Kα).
Peak positions follow from Bragg's law for the DFT cell and can differ from measured ones.

Atomic structure:
Lattice parameters (Å, degrees): 18.632 18.632 6.787 95.13 95.13 158.99
Fractional positions:
K: 0.000 0.000 0.000
K: 0.083 0.914 0.297
K: 0.170 0.832 0.025
K: 0.219 0.671 0.875
K: 0.316 0.591 0.891
K: 0.323 0.789 0.428
K: 0.405 0.684 0.435
K: 0.410 0.502 0.875
K: 0.495 0.588 0.418
K: 0.502 0.410 0.875
K: 0.588 0.495 0.418
K: 0.591 0.316 0.891
K: 0.671 0.219 0.875
K: 0.684 0.405 0.435
K: 0.789 0.323 0.428
K: 0.832 0.170 0.025
K: 0.914 0.083 0.297
Fe: 0.088 0.909 0.806
Fe: 0.178 0.820 0.503
Fe: 0.820 0.178 0.503
Fe: 0.909 0.088 0.806
Fe: 0.999 0.999 0.492
O: 0.042 0.956 0.662
O: 0.081 0.454 0.484
O: 0.129 0.872 0.613
O: 0.172 0.358 0.091
O: 0.214 0.787 0.717
O: 0.268 0.268 0.474
O: 0.358 0.172 0.091
O: 0.454 0.081 0.484
O: 0.543 0.915 0.220
O: 0.638 0.824 0.826
O: 0.732 0.732 0.207
O: 0.787 0.214 0.717
O: 0.824 0.638 0.826
O: 0.872 0.129 0.613
O: 0.915 0.543 0.220
O: 0.956 0.042 0.662

Peak list (10 most intense, 2θ = 10–90°, most intense first)
| two_theta | I_rel |
| --- | --- |
| 30.8 | 100 |
| 30.2 | 54 |
| 37.8 | 52 |
| 33.9 | 27 |
| 33.7 | 26 |
| 30.2 | 20 |
| 30.5 | 19 |
| 19.4 | 18 |
| 15.2 | 16 |
| 54.0 | 16 |